# MnCuB
Theoretical X-ray powder pattern, Cu Kα. Input: the GGA-PBE geometry in Alexandria.

Main lines, in order of falling intensity (2θ from 10° to 80°):
(hkl)  2θ (°)  I_rel
1 1 1  45.02  100
0 4 1  40.87  94
1 5 0  45.73  72
1 3 0  36.96  32
1 9 1  78.37  26
2 4 1  79.64  23
0 8 0  53.43  16
0 0 2  64.59  15

Structure:
Cell: 2.8720 13.7184 2.8858 Å, 90.00 90.00 90.00°
Space group Cmcm (No. 63)
One atom of each set of equivalent atoms:
Mn 0.0000 0.0788 0.2500
Cu 0.0000 0.3010 0.2500
B 0.0000 0.4621 0.2500



# TbPaB12
Theoretical X-ray powder pattern, Cu Kα. Input: the GGA-PBE geometry in Alexandria.

Main lines, in order of falling intensity (2θ from 10° to 80°):
(hkl)  2θ (°)  I_rel
1 1 0  30.97  100
1 0 0  21.76  77
2 1 0  49.93  52
1 1 2  38.17  42
2 1 2  55.08  31
2 0 0  44.36  21
2 1 4  68.96  18
3 1 0  73.35  13

Structure:
Cell: 4.0813 4.0813 8.1795 Å, 90.00 90.00 90.00°
Space group P4/mmm (No. 123)
One atom of each set of equivalent atoms:
Tb 0.0000 0.0000 0.0000
Pa 0.0000 0.0000 0.5000
B 0.1976 0.5000 0.2505
B 0.5000 0.5000 0.0993
B 0.5000 0.5000 0.4016



# Sc3Cd2Au
Theoretical X-ray powder pattern, Cu Kα. Input: the GGA-PBE geometry in Alexandria.

Main lines, in order of falling intensity (2θ from 10° to 80°):
(hkl)  2θ (°)  I_rel
1 0 3  36.34  100
1 1 0  36.49  50
2 1 3  65.57  34
1 0 0  25.58  33
0 0 3  25.37  17
2 0 0  52.56  17
1 1 6  65.28  17
1 1 3  44.96  16

Structure:
Cell: 3.4825 3.4825 10.5327 Å, 90.00 90.00 90.00°
Space group P4/mmm (No. 123)
One atom of each set of equivalent atoms:
Sc 0.0000 0.0000 0.0000
Sc 0.0000 0.0000 0.3453
Cd 0.5000 0.5000 0.1685
Au 0.5000 0.5000 0.5000



# Nd3Ni4As4
Theoretical X-ray powder pattern, Cu Kα. Input: the GGA-PBE geometry in Alexandria.

Main lines, in order of falling intensity (2θ from 10° to 80°):
(hkl)  2θ (°)  I_rel
1 1 4  34.29  100
1 0 7  34.00  72
2 0 0  44.11  69
1 2 7  56.81  32
0 1 9  40.21  32
1 1 2  31.70  32
2 2 0  64.16  22
0 1 11  47.01  22

Structure:
Cell: 4.1031 4.1084 24.0934 Å, 90.00 90.00 90.00°
Space group Immm (No. 71)
One atom of each set of equivalent atoms:
Nd 0.0000 0.0000 0.0000
Nd 0.0000 0.5000 0.1521
Ni 0.0000 0.0000 0.2499
Ni 0.0000 0.5000 0.4030
As 0.0000 0.0000 0.4450
As 0.0000 0.5000 0.3044



# Cs4BiCl6
Theoretical X-ray powder pattern, Cu Kα. Input: the GGA-PBE geometry in Alexandria.

Main lines, in order of falling intensity (2θ from 10° to 80°):
(hkl)  2θ (°)  I_rel
2 1 2  27.76  100
3 1 0  29.44  75
1 0 1  12.99  66
2 1 0  20.70  37
3 1 4  48.04  30
2 0 2  26.13  30
4 2 0  42.09  23
3 3 2  44.20  22

Structure:
Cell: 9.5930 9.5930 9.6984 Å, 90.00 90.00 90.00°
Space group P4/mnc (No. 128)
One atom of each set of equivalent atoms:
Cs 0.1651 0.3349 0.2500
Bi 0.0000 0.0000 0.0000
Cl 0.0000 0.0000 0.2814
Cl 0.1048 0.6927 0.0000



# TiZnF5
Theoretical X-ray powder pattern, Cu Kα. Input: the GGA-PBE geometry in Alexandria.

Main lines, in order of falling intensity (2θ from 10° to 80°):
(hkl)  2θ (°)  I_rel
1 1 -2  27.48  100
2 0 0  22.81  87
0 2 0  28.01  39
5 1 -2  54.91  35
1 3 -2  49.24  34
4 0 0  46.60  27
2 0 -4  48.24  18
3 1 -2  36.00  17

Structure:
Cell: 8.6699 6.3702 7.5461 Å, 90.00 115.95 90.00°
Space group C2/c (No. 15)
One atom of each set of equivalent atoms:
Ti 0.0000 0.0000 0.0000
Zn 0.0000 0.4756 0.2500
F 0.0000 0.1287 0.2500
F 0.0220 0.3059 0.9559
F 0.2433 0.0355 0.6334



# Na5B7C3
Theoretical X-ray powder pattern, Cu Kα. Input: the GGA-PBE geometry in Alexandria.

Main lines, in order of falling intensity (2θ from 10° to 80°):
(hkl)  2θ (°)  I_rel
5 1 2  41.49  100
0 0 4  42.04  95
5 1 0  35.56  22
5 3 0  64.64  17
10 2 2  79.07  13
5 1 6  76.49  12
5 1 4  56.23  12
10 0 0  63.46  9

Structure:
Cell: 14.6576 4.9682 8.5902 Å, 90.00 90.00 90.00°
Space group Cmcm (No. 63)
One atom of each set of equivalent atoms:
Na 0.0000 0.0000 0.0000
Na 0.1006 0.5000 0.0000
Na 0.1999 0.0000 0.0000
B 0.0000 0.3371 0.2500
B 0.0946 0.1646 0.7500
B 0.1927 0.3057 0.2500
B 0.2013 0.3191 0.7500
C 0.0000 0.3269 0.7500
C 0.0952 0.1731 0.2500



# KNa4GeAs3
Theoretical X-ray powder pattern, Cu Kα. Input: the GGA-PBE geometry in Alexandria.

Main lines, in order of falling intensity (2θ from 10° to 80°):
(hkl)  2θ (°)  I_rel
1 1 1  20.51  100
0 2 0  37.44  81
2 1 3  29.88  79
6 0 3  40.91  76
6 2 3  56.66  57
2 0 3  23.28  55
5 1 4  44.56  35
1 1 4  33.40  33

Structure:
Cell: 15.2802 4.8032 13.2357 Å, 90.00 90.00 90.00°
Space group Pnma (No. 62)
One atom of each set of equivalent atoms:
K 0.0166 0.2500 0.1288
Na 0.0622 0.2500 0.4281
Na 0.0804 0.2500 0.6903
Na 0.2132 0.7500 0.0597
Na 0.2441 0.7500 0.7623
Ge 0.2058 0.7500 0.4154
As 0.1173 0.7500 0.2674
As 0.1343 0.7500 0.5756
As 0.1397 0.2500 0.9087



# TlIn3Pb3
Theoretical X-ray powder pattern, Cu Kα. Input: the GGA-PBE geometry in Alexandria.

Main lines, in order of falling intensity (2θ from 10° to 80°):
(hkl)  2θ (°)  I_rel
1 2 -3  32.56  100
2 2 1  32.11  69
3 0 -2  32.77  33
1 4 4  57.43  25
3 4 -2  57.61  13
0 4 0  45.98  13
5 2 -1  57.78  13
4 0 2  46.11  12

Structure:
Cell: 8.7267 7.8950 12.1673 Å, 90.00 96.67 90.00°
Space group P2_1/c (No. 14)
One atom of each set of equivalent atoms:
Tl 0.2215 0.1176 0.3268
In 0.0688 0.6310 0.6056
In 0.3717 0.6319 0.0453
In 0.4957 0.1258 0.7476
Pb 0.0809 0.1189 0.6076
Pb 0.2136 0.6320 0.3255
Pb 0.3540 0.1147 0.0439



# BaPaSb2Pd2
Theoretical X-ray powder pattern, Cu Kα. Input: the GGA-PBE geometry in Alexandria.

Main lines, in order of falling intensity (2θ from 10° to 80°):
(hkl)  2θ (°)  I_rel
1 0 2  30.39  100
1 1 0  38.94  57
0 0 1  10.21  33
0 2 2  50.18  25
2 1 2  65.27  23
1 0 3  38.42  15
1 1 4  58.37  14
3 0 0  70.52  10

Structure:
Cell: 4.6261 4.6261 8.6638 Å, 90.00 90.00 120.00°
Space group P-3m1 (No. 164)
One atom of each set of equivalent atoms:
Ba 0.0000 0.0000 0.0000
Pa 0.0000 0.0000 0.5000
Sb 0.3333 0.6667 0.7259
Pd 0.3333 0.6667 0.3196



# Ni3MoRh
Theoretical X-ray powder pattern, Cu Kα. Input: the GGA-PBE geometry in Alexandria.

Main lines, in order of falling intensity (2θ from 10° to 80°):
(hkl)  2θ (°)  I_rel
2 2 1  44.38  100
1 3 1  35.02  35
1 1 1  28.91  34
2 4 1  50.95  32
0 2 2  46.56  26
0 6 0  41.72  25
0 4 2  52.91  23
1 5 0  38.98  22

Structure:
Cell: 5.0533 12.9913 4.0897 Å, 90.00 90.00 90.00°
Space group C222_1 (No. 20)
One atom of each set of equivalent atoms:
Ni 0.0000 0.1626 0.2500
Ni 0.2475 0.1848 0.7429
Mo 0.0000 0.3784 0.7500
Rh 0.1667 0.0000 0.0000



# ScVNi
Theoretical X-ray powder pattern, Cu Kα. Input: the GGA-PBE geometry in Alexandria.

Main lines, in order of falling intensity (2θ from 10° to 80°):
(hkl)  2θ (°)  I_rel
1 2 1  41.29  100
0 2 2  42.51  62
2 1 1  43.49  58
2 0 2  45.37  54
1 0 3  41.55  46
2 2 4  74.78  39
0 1 3  40.79  38
1 1 2  35.35  33

Structure:
Cell: 4.7719 5.2241 7.3248 Å, 90.00 90.00 90.00°
Space group Imma (No. 74)
One atom of each set of equivalent atoms:
Sc 0.0000 0.2500 0.1211
V 0.2500 0.2500 0.7500
Ni 0.0000 0.0000 0.5000